Diffraction record for CeNdCu2Si2. The XRD peak list is simulated, not measured: it uses a DFT-relaxed cell (GGA-PBE, Alexandria) and CuKα.

Most intense lines, 10 to 90 degrees two-theta, low angle first:
2θ 24.65, I = 25, hkl 1 0 0
2θ 33.41, I = 100, hkl 0 1 2
2θ 43.40, I = 38, hkl 1 1 0
2θ 45.29, I = 11, hkl 0 0 4
2θ 55.86, I = 23, hkl 2 0 2
2θ 64.53, I = 22, hkl 1 1 4
2θ 73.27, I = 20, hkl 1 2 2
2θ 76.01, I = 9, hkl 0 1 6

Cell and atoms:
```
data_CeNdCu2Si2
_space_group_name_H-M_alt 'P 1'
_space_group_IT_number 1
_cell_length_a 4.1697
_cell_length_b 4.1697
_cell_length_c 8.0091
_cell_angle_alpha 90.00
_cell_angle_beta 90.00
_cell_angle_gamma 120.00
loop_
_space_group_symop_operation_xyz
'x,y,z'
loop_
_atom_site_label
_atom_site_type_symbol
_atom_site_fract_x
_atom_site_fract_y
_atom_site_fract_z
Ce1 Ce 0.0000 0.0000 0.0000
Nd1 Nd 0.0000 0.0000 0.5000
Cu1 Cu 0.3333 0.6667 0.2447
Cu2 Cu 0.6667 0.3333 0.7553
Si1 Si 0.3333 0.6667 0.7564
Si2 Si 0.6667 0.3333 0.2436
```